Diffraction record for KLi2MnPCO7. The X-ray powder pattern is theoretical, not measured: it uses the PBE+U geometry in Alexandria and Cu Kα (λ = 1.5418 Å).

Atomic structure:
```
data_KLi2MnPCO7
_chemical_formula_sum 'K2 Li4 Mn2 P2 C2 O14'
_symmetry_space_group_name_H-M 'P 1'
_symmetry_Int_Tables_number 1
_cell_length_a 5.477
_cell_length_b 6.856
_cell_length_c 8.977
_cell_angle_alpha 90.00
_cell_angle_beta 95.78
_cell_angle_gamma 90.00
loop_
_symmetry_equiv_pos_as_xyz
'x,y,z'
loop_
_atom_site_label
_atom_site_type_symbol
_atom_site_fract_x
_atom_site_fract_y
_atom_site_fract_z
K1 K 0.201 0.000 0.221
K2 K 0.799 0.500 0.779
Li1 Li 0.219 0.458 0.201
Li2 Li 0.315 0.101 0.849
Li3 Li 0.685 0.601 0.151
Li4 Li 0.781 0.958 0.799
Mn1 Mn 0.223 0.803 0.615
Mn2 Mn 0.777 0.303 0.385
P1 P 0.293 0.312 0.565
P2 P 0.707 0.812 0.435
C1 C 0.309 0.781 0.942
C2 C 0.691 0.281 0.058
O1 O 0.099 0.874 0.923
O2 O 0.170 0.319 0.400
O3 O 0.202 0.128 0.647
O4 O 0.224 0.493 0.655
O5 O 0.367 0.677 0.059
O6 O 0.425 0.799 0.436
O7 O 0.462 0.806 0.840
O8 O 0.538 0.306 0.160
O9 O 0.575 0.299 0.564
O10 O 0.633 0.177 0.941
O11 O 0.776 0.993 0.345
O12 O 0.798 0.628 0.353
O13 O 0.830 0.819 0.600
O14 O 0.901 0.374 0.077
```

Principal peaks in the range 5° ≤ 2θ ≤ 70°, in order of rising 2θ:
d (Å)	intensity	(hkl)
8.931	100	0 0 1
5.439	25	0 1 1
4.266	31	1 1 0
3.428	34	0 2 0
3.295	38	1 0 2
2.727	58	2 0 0
2.719	45	0 2 2
2.536	27	1 1 -3